Diffraction record for CaAcMgRh. The X-ray powder pattern is computed, not measured: it uses the PBE geometry in Alexandria and Cu Kα (λ = 1.5418 Å).
Intensities are scaled so that the largest is 100.

Main lines, sorted by position (10° ≤ 2θ ≤ 80°):
d_spacing  2theta  I (rel.)
4.361  20.4  55
3.776  23.6  13
2.670  33.6  100
2.277  39.6  32
1.888  48.2  18
1.733  52.8  14
1.542  60.0  37
1.454  64.1  11
1.335  70.5  11
1.277  74.3  11

```
CaAcMgRh
1.0
0.0000 3.7765 3.7765
3.7765 0.0000 3.7765
3.7765 3.7765 0.0000
Ca Ac Mg Rh
1 1 1 1
Direct
0.0000 0.0000 0.0000 Ca
0.5000 0.5000 0.5000 Ac
0.2500 0.2500 0.2500 Mg
0.7500 0.7500 0.7500 Rh
```